# LiLa6Ga
Theoretical X-ray powder pattern, Cu Kα. Input: a crystal structure in Alexandria, relaxed with GGA-PBE.
Lines closer than 0.1° are merged.

Structure:
Cell lengths 5.325, 5.325, 9.769 Å; angles 105.76, 105.76, 89.99 degrees
Element x y z (fractional)
Li: 0.000 0.000 0.000
La: 0.106 0.606 0.213
La: 0.251 0.251 0.502
La: 0.394 0.894 0.787
La: 0.606 0.106 0.213
La: 0.749 0.749 0.498
La: 0.894 0.394 0.787
Ga: 0.500 0.500 0.000

Principal peaks in the range 2θ = 5–70°, by angle:
| two_theta | d/Å | I (rel.) |
| --- | --- | --- |
| 25.64 | 3.475 | 24 |
| 29.71 | 3.007 | 12 |
| 30.94 | 2.890 | 100 |
| 33.66 | 2.662 | 46 |
| 39.98 | 2.255 | 8 |
| 45.51 | 1.993 | 15 |
| 48.35 | 1.883 | 16 |
| 53.23 | 1.721 | 14 |
| 56.57 | 1.627 | 12 |
| 58.51 | 1.577 | 32 |